Calculated powder diffraction line list
Compound: DyPuFeTc
Radiation: Cu Kα
Structure: a structure optimized by DFT (GGA-PBE)

Main lines, low angle first (15° ≤ 2θ ≤ 90°):
2θ/deg  I/Imax
22.8  5
26.4  22
37.7  100
44.6  3
46.7  7
54.4  17
61.5  9
68.1  35
80.6  11
86.6  5

Crystal structure
```
DyPuFeTc
1.0
6.7438 0.0000 0.0000
0.0000 6.7438 0.0000
0.0000 0.0000 6.7438
Dy Pu Fe Tc
4 4 4 4
Direct
0.0000 0.0000 0.0000
0.0000 0.5000 0.5000
0.5000 0.0000 0.5000
0.5000 0.5000 0.0000
0.0000 0.0000 0.5000
0.0000 0.5000 0.0000
0.5000 0.0000 0.0000
0.5000 0.5000 0.5000
0.2500 0.2500 0.7500
0.2500 0.7500 0.2500
0.7500 0.2500 0.2500
0.7500 0.7500 0.7500
0.2500 0.2500 0.2500
0.2500 0.7500 0.7500
0.7500 0.2500 0.7500
0.7500 0.7500 0.2500
```


Calculated powder diffraction line list
Compound: TeSBr3
Radiation: Cu Kα
Structure: a structure optimized by DFT (GGA-PBE)

Main lines, low angle first (15° ≤ 2θ ≤ 90°):
2θ/deg  I/Imax
17.0  43
20.4  47
25.8  100
27.2  36
28.6  42
31.5  55
32.0  43
37.0  32
42.5  30
43.6  27

Crystal structure
```
TeSBr3
1.0
7.8004 0.0000 0.0000
0.0000 7.6536 0.0000
-0.9049 0.0000 15.8982
Te S Br
4 4 12
Direct
0.0776 0.1358 0.3770
0.0776 0.8642 0.8770
0.9224 0.1358 0.1230
0.9224 0.8642 0.6230
0.0958 0.4204 0.2928
0.0958 0.5796 0.7928
0.9042 0.4204 0.2072
0.9042 0.5796 0.7072
0.1084 0.2448 0.0025
0.1084 0.7552 0.5025
0.2268 0.0329 0.2183
0.2268 0.9671 0.7183
0.3661 0.2493 0.4435
0.3661 0.7507 0.9435
0.6339 0.2493 0.0565
0.6339 0.7507 0.5565
0.7732 0.0329 0.2817
0.7732 0.9671 0.7817
0.8916 0.2448 0.4975
0.8916 0.7552 0.9975
```


Calculated powder diffraction line list
Compound: La3Pm3Tm
Radiation: Cu Kα
Structure: a structure optimized by DFT (GGA-PBE)

Main lines, low angle first (15° ≤ 2θ ≤ 90°):
2θ/deg  I/Imax
23.5  30
28.3  41
30.7  33
31.1  94
31.6  100
31.9  47
37.1  20
51.9  22
54.8  21
56.3  28

Crystal structure
```
La3Pm3Tm
1.0
4.4274 2.5562 7.3579
-4.4274 2.5562 7.3579
0.0000 -5.1123 7.3579
La Pm Tm
6 6 2
Direct
0.0605 0.8096 0.3017
0.1904 0.6983 0.9395
0.3017 0.0605 0.8096
0.6983 0.9395 0.1904
0.8096 0.3017 0.0605
0.9395 0.1904 0.6983
0.0671 0.5671 0.7234
0.2766 0.9329 0.4329
0.4329 0.2766 0.9329
0.5671 0.7234 0.0671
0.7234 0.0671 0.5671
0.9329 0.4329 0.2766
0.3477 0.3477 0.3477
0.6523 0.6523 0.6523
```


Calculated powder diffraction line list
Compound: TiV4Ir5
Radiation: Cu Kα
Structure: a structure optimized by DFT (GGA-PBE)

Main lines, low angle first (15° ≤ 2θ ≤ 90°):
2θ/deg  I/Imax
24.3  32
32.2  32
40.7  100
46.2  35
49.8  14
52.8  17
60.6  11
67.3  11
70.3  19
81.8  26

Crystal structure
```
TiV4Ir5
1.0
2.7816 0.0000 0.0000
0.0000 2.7816 0.0000
0.0000 0.0000 18.2971
Ti V Ir
1 4 5
Direct
0.0000 0.0000 0.0000
0.0000 0.0000 0.2015
0.0000 0.0000 0.4004
0.0000 0.0000 0.5996
0.0000 0.0000 0.7985
0.5000 0.5000 0.1042
0.5000 0.5000 0.3008
0.5000 0.5000 0.5000
0.5000 0.5000 0.6992
0.5000 0.5000 0.8958
```


Calculated powder diffraction line list
Compound: LaPmCd6
Radiation: Cu Kα
Structure: a structure optimized by DFT (GGA-PBE)

Main lines, low angle first (15° ≤ 2θ ≤ 90°):
2θ/deg  I/Imax
29.5  17
31.0  18
34.7  100
36.0  64
47.2  9
48.2  10
54.2  14
63.8  16
64.3  16
66.8  15

Crystal structure
```
LaPmCd6
1.0
4.9956 0.0000 0.0000
0.0000 7.1112 0.0000
0.0000 0.0000 11.5352
La Pm Cd
2 2 12
Direct
0.0000 0.0000 0.0000
0.0000 0.5000 0.5000
0.5000 0.0000 0.7021
0.5000 0.5000 0.2021
0.0000 0.0000 0.5211
0.0000 0.2205 0.2630
0.0000 0.2795 0.7630
0.0000 0.5000 0.0211
0.0000 0.7205 0.7630
0.0000 0.7795 0.2630
0.5000 0.0000 0.1862
0.5000 0.2171 0.4380
0.5000 0.2829 0.9380
0.5000 0.5000 0.6862
0.5000 0.7171 0.9380
0.5000 0.7829 0.4380
```


Calculated powder diffraction line list
Compound: HfPd2Pt6
Radiation: Cu Kα
Structure: a structure optimized by DFT (GGA-PBE)

Main lines, low angle first (15° ≤ 2θ ≤ 90°):
2θ/deg  I/Imax
35.1  50
38.6  100
43.1  35
43.3  47
46.4  62
59.3  15
70.7  27
80.0  24
82.7  18
82.9  18

Crystal structure
```
HfPd2Pt6
1.0
3.1289 -6.2964 0.0000
3.1289 6.2964 0.0000
-1.2447 0.0000 3.7656
Hf Pd Pt
1 2 6
Direct
0.0000 0.0000 0.0000
0.1591 0.8409 0.5000
0.8409 0.1591 0.5000
0.1793 0.4931 0.1616
0.3259 0.3259 0.6601
0.4931 0.1793 0.1616
0.5069 0.8207 0.8384
0.6741 0.6741 0.3399
0.8207 0.5069 0.8384
```


Calculated powder diffraction line list
Compound: Sr2UCdSe5
Radiation: Cu Kα
Structure: a structure optimized by DFT (GGA-PBE)

Main lines, low angle first (15° ≤ 2θ ≤ 90°):
2θ/deg  I/Imax
16.6  17
22.4  24
25.3  16
29.5  100
30.2  63
35.1  43
42.4  28
42.9  23
49.4  21
53.0  26

Crystal structure
```
Sr2UCdSe5
1.0
2.1314 -9.1024 0.0000
2.1314 9.1024 0.0000
0.0000 0.0000 13.2400
Sr U Cd Se
4 2 2 10
Direct
0.1055 0.8945 0.5000
0.1259 0.8741 0.1336
0.8741 0.1259 0.6336
0.8945 0.1055 0.0000
0.2110 0.7890 0.8396
0.7890 0.2110 0.3396
0.4516 0.5484 0.2691
0.5484 0.4516 0.7691
0.0585 0.9415 0.8863
0.2827 0.7173 0.4840
0.3021 0.6979 0.1941
0.3640 0.6360 0.8229
0.4963 0.5037 0.5884
0.5037 0.4963 0.0884
0.6360 0.3640 0.3229
0.6979 0.3021 0.6941
0.7173 0.2827 0.9840
0.9415 0.0585 0.3863
```